The following is a calculated powder diffractogram of Ca3Ta2N4. It was derived from a structure optimized by DFT (PBE), using Cu Kα, 1.54184 Å.
Peak positions follow from Bragg's law for the DFT cell and can differ from measured ones.

Cell and atoms:
```
data_Ca3Ta2N4
_cell_length_a 14.9299
_cell_length_b 7.9692
_cell_length_c 5.3408
_cell_angle_alpha 90.00
_cell_angle_beta 94.07
_cell_angle_gamma 90.00
_space_group_name_H-M_alt 'C 1 2/c 1'
_space_group_IT_number 15
loop_
_space_group_symop_operation_xyz
'x,y,z'
'-x,-y,-z'
'-x,y,-z+1/2'
'x,-y,z+1/2'
'x+1/2,y+1/2,z'
'-x+1/2,-y+1/2,-z'
'-x+1/2,y+1/2,-z+1/2'
'x+1/2,-y+1/2,z+1/2'
loop_
_atom_site_label
_atom_site_type_symbol
_atom_site_fract_x
_atom_site_fract_y
_atom_site_fract_z
Ca1 Ca 0.0000 0.1040 0.2500
Ca2 Ca 0.1341 0.3756 0.5086
Ta1 Ta 0.1908 0.1024 0.9377
N1 N 0.1152 0.0745 0.6064
N2 N 0.1695 0.3317 0.0575
```

Main lines, most intense first (2θ from 15° to 90°):
hkl	2θ/deg	Rel. int.
2 2 1	31.0	100
4 2 -1	36.3	53
5 1 0	32.1	53
3 1 -1	26.2	50
3 1 0	21.1	46
1 1 -1	20.6	43
3 3 -1	41.6	34
1 1 1	21.3	33
0 4 0	45.5	33
2 0 -2	35.0	30

---

The following is a calculated powder diffractogram of Ca3Ta2N4. It was derived from a structure optimized by DFT (PBE), using Cu Kα, 1.54184 Å.
Peak positions follow from Bragg's law for the DFT cell and can differ from measured ones.

Cell and atoms:
```
data_Ca3Ta2N4
_cell_length_a 6.1549
_cell_length_b 10.3337
_cell_length_c 9.3864
_cell_angle_alpha 90.00
_cell_angle_beta 90.00
_cell_angle_gamma 90.00
_space_group_name_H-M_alt 'P n n a'
_space_group_IT_number 52
loop_
_space_group_symop_operation_xyz
'x,y,z'
'-x,-y,-z'
'-x+1/2,-y,z'
'x+1/2,y,-z'
'x,-y+1/2,-z+1/2'
'-x,y+1/2,z+1/2'
'-x+1/2,y+1/2,-z+1/2'
'x+1/2,-y+1/2,z+1/2'
loop_
_atom_site_label
_atom_site_type_symbol
_atom_site_fract_x
_atom_site_fract_y
_atom_site_fract_z
Ca1 Ca 0.1163 0.1533 0.0743
Ca2 Ca 0.2500 0.0000 0.3912
Ta1 Ta 0.0748 0.2500 0.7500
Ta2 Ta 0.2500 0.0000 0.7272
N1 N 0.0134 0.5671 0.3361
N2 N 0.2330 0.6599 0.8958
```

Main lines, most intense first (2θ from 15° to 90°):
hkl	2θ/deg	Rel. int.
1 0 1	17.2	100
0 0 2	18.9	72
2 2 2	39.1	68
1 1 1	19.3	66
1 0 3	32.1	45
1 1 3	33.3	38
0 4 2	39.8	37
2 2 0	33.9	36
3 2 3	56.5	30
3 2 1	48.7	29

---

The following is a calculated powder diffractogram of CaTcN3. It was derived from a structure optimized by DFT (PBE), using Cu Kα, 1.54184 Å.
Peak positions follow from Bragg's law for the DFT cell and can differ from measured ones.

Cell and atoms:
```
data_CaTcN3
_cell_length_a 12.3674
_cell_length_b 3.6558
_cell_length_c 6.4760
_cell_angle_alpha 90.00
_cell_angle_beta 105.72
_cell_angle_gamma 90.00
_space_group_name_H-M_alt 'C 1 2/m 1'
_space_group_IT_number 12
loop_
_space_group_symop_operation_xyz
'x,y,z'
'-x,-y,-z'
'-x,y,-z'
'x,-y,z'
'x+1/2,y+1/2,z'
'-x+1/2,-y+1/2,-z'
'-x+1/2,y+1/2,-z'
'x+1/2,-y+1/2,z'
loop_
_atom_site_label
_atom_site_type_symbol
_atom_site_fract_x
_atom_site_fract_y
_atom_site_fract_z
Ca1 Ca 0.1216 0.0000 0.3287
Tc1 Tc 0.1548 0.5000 0.8492
N1 N 0.0025 0.5000 0.9025
N2 N 0.1567 0.5000 0.5777
N3 N 0.1802 0.0000 0.9926
```

Main lines, most intense first (2θ from 15° to 90°):
hkl	2θ/deg	Rel. int.
1 1 1	30.3	100
2 0 -2	28.5	35
2 0 -1	17.6	32
4 0 0	30.0	32
3 1 -1	33.8	24
2 0 2	36.0	21
3 1 -3	50.3	20
1 1 -3	49.2	18
0 2 0	49.9	18
5 1 -1	44.4	16

---

The following is a calculated powder diffractogram of CaTcN3. It was derived from a structure optimized by DFT (PBE), using Cu Kα, 1.54184 Å.
Peak positions follow from Bragg's law for the DFT cell and can differ from measured ones.

Cell and atoms:
```
data_CaTcN3
_cell_length_a 10.9857
_cell_length_b 9.9143
_cell_length_c 6.2394
_cell_angle_alpha 90.00
_cell_angle_beta 110.73
_cell_angle_gamma 90.00
_space_group_name_H-M_alt 'C 1 2/c 1'
_space_group_IT_number 15
loop_
_space_group_symop_operation_xyz
'x,y,z'
'-x,-y,-z'
'-x,y,-z+1/2'
'x,-y,z+1/2'
'x+1/2,y+1/2,z'
'-x+1/2,-y+1/2,-z'
'-x+1/2,y+1/2,-z+1/2'
'x+1/2,-y+1/2,z+1/2'
loop_
_atom_site_label
_atom_site_type_symbol
_atom_site_fract_x
_atom_site_fract_y
_atom_site_fract_z
Ca1 Ca 0.0000 0.0862 0.2500
Ca2 Ca 0.0000 0.3042 0.7500
Tc1 Tc 0.2109 0.4110 0.2304
N1 N 0.1176 0.1101 0.6620
N2 N 0.1339 0.2554 0.1703
N3 N 0.1509 0.4974 0.9447
```

Main lines, most intense first (2θ from 15° to 90°):
hkl	2θ/deg	Rel. int.
2 2 -1	25.9	100
0 0 2	30.6	43
0 2 1	23.5	41
2 2 1	32.5	33
3 1 0	27.6	32
2 0 0	17.3	22
2 2 -3	47.4	21
5 3 1	59.7	18
2 2 0	25.0	17
5 3 -1	49.8	16

---

The following is a calculated powder diffractogram of Ca3TiN3. It was derived from a structure optimized by DFT (PBE), using Cu Kα, 1.54184 Å.
Peak positions follow from Bragg's law for the DFT cell and can differ from measured ones.

Cell and atoms:
```
data_Ca3TiN3
_cell_length_a 7.5140
_cell_length_b 7.5140
_cell_length_c 4.9788
_cell_angle_alpha 90.00
_cell_angle_beta 90.00
_cell_angle_gamma 120.00
_space_group_name_H-M_alt 'P 63/m'
_space_group_IT_number 176
_space_group_name_Hall '-P 6c'
loop_
_atom_site_label
_atom_site_type_symbol
_atom_site_fract_x
_atom_site_fract_y
_atom_site_fract_z
Ca1 Ca 0.0912 0.3479 0.2500
Ti1 Ti 0.3333 0.6667 0.7500
N1 N 0.1150 0.3889 0.7500
```

Main lines, most intense first (2θ from 15° to 90°):
hkl	2θ/deg	Rel. int.
2 0 1	32.9	100
0 0 2	36.1	68
1 2 0	36.5	54
2 0 0	27.4	50
1 1 1	29.8	46
1 2 2	52.3	32
3 1 0	50.6	28
3 1 2	63.7	25
3 0 0	41.6	24
2 0 2	45.9	21

---

- What is the formula in the first record?
  Ca3Ta2N4